This entry pairs a crystal structure of Nd7RuBr12 with its simulated XRD peak list. Radiation: CuKα. Structure: a GGA-PBE-relaxed structure.

Main lines, most intense first (2θ = 10–90°):
2θ/deg  Rel. int.  hkl
29.3  100  4 -1 2
11.5  44  1 1 0
41.3  36  1 3 4
42.4  35  5 2 0
10.5  21  1 0 1
52.4  17  2 6 2
69.6  15  9 1 2
33.7  13  5 -3 2
68.0  12  5 2 6
60.7  11  8 -2 4

Cell and atoms:
a b c (Å): 15.3699 15.3699 10.8511
angles (deg): 90.00 90.00 120.00
Space group R-3 (No. 148, hexagonal axes)
Inequivalent atoms, fractional coordinates:
Nd1 0.0000 0.0000 0.0000 [3 per cell]
Nd2 0.0410 0.8751 0.3570 [18 per cell]
Ru1 0.0000 0.0000 0.5000 [3 per cell]
Br1 0.0224 0.4386 0.1575 [18 per cell]
Br2 0.0430 0.8758 0.8354 [18 per cell]